The following is a computed PXRD pattern of K2TlGaF6. It was derived from a crystal structure in the Materials Project, relaxed with GGA-PBE, using copper Kα.
Neutral-atom scattering factors, no anomalous dispersion.

Main lines, in order of rising 2θ (15 to 90 degrees two-theta):
2theta, I/Imax
19.5, 60.7
27.7, 100.0
39.6, 37.6
44.5, 26.0
49.0, 37.6
57.2, 22.1

Structural model:
```
K2TlGaF6
1.0
0.0000 4.5522 4.5522
4.5522 0.0000 4.5522
4.5522 4.5522 0.0000
K Tl Ga F
2 1 1 6
direct
0.2500 0.2500 0.2500
0.7500 0.7500 0.7500
0.0000 0.0000 0.0000
0.5000 0.5000 0.5000
0.2884 0.2884 0.7116
0.2884 0.7116 0.2884
0.2884 0.7116 0.7116
0.7116 0.2884 0.2884
0.7116 0.2884 0.7116
0.7116 0.7116 0.2884
```